Starting from a cell relaxed with PBE, the powder XRD pattern of Zn4CdSe5 was computed for a wavelength of 1.5418 Å.

```
data_Zn4CdSe5
_space_group_name_H-M_alt 'R 3 m'
_space_group_IT_number 160
_space_group_name_Hall 'R 3 -2"'
_cell_length_a 4.1170
_cell_length_b 4.1170
_cell_length_c 50.6604
_cell_angle_alpha 90.00
_cell_angle_beta 90.00
_cell_angle_gamma 120.00
loop_
_atom_site_label
_atom_site_type_symbol
_atom_site_fract_x
_atom_site_fract_y
_atom_site_fract_z
Zn1 Zn 0.0000 0.0000 0.0000
Zn2 Zn 0.0000 0.0000 0.1939
Zn3 Zn 0.0000 0.0000 0.3980
Zn4 Zn 0.0000 0.0000 0.7959
Cd1 Cd 0.0000 0.0000 0.5981
Se1 Se 0.0000 0.0000 0.0490
Se2 Se 0.0000 0.0000 0.2428
Se3 Se 0.0000 0.0000 0.4470
Se4 Se 0.0000 0.0000 0.6508
Se5 Se 0.0000 0.0000 0.8450
```

The 12 most intense peaks (2θ = 10–80°), in order of falling intensity:
Position (°2θ)	I (rel.)	h k l
26.50	100	0 1 5
43.99	49	1 1 0
43.84	45	0 1 20
52.05	42	2 0 5
26.39	31	0 0 15
63.85	14	2 0 20
51.90	14	1 0 25
70.49	12	1 2 5
70.33	5	0 2 25
70.18	4	0 1 35
39.41	2	0 1 17
46.98	2	1 0 22